Diffraction record for HfMg6VO8. The PXRD pattern is simulated, not measured: it uses a GGA+U-relaxed structure and Cu Ka.
Kinematic intensities with the Lorentz-polarization factor, no thermal factor.

Structural model:
```
HfMg6VO8
1.0
4.373 0.000 0.000
0.000 4.373 0.000
0.000 0.000 8.770
Hf Mg V O
1 6 1 8
Direct
0.000 0.000 0.000
0.000 0.500 0.258
0.000 0.500 0.742
0.500 0.000 0.258
0.500 0.000 0.742
0.500 0.500 0.000
0.500 0.500 0.500
0.000 0.000 0.500
0.000 0.000 0.253
0.000 0.000 0.747
0.000 0.500 0.000
0.000 0.500 0.500
0.500 0.000 0.000
0.500 0.000 0.500
0.500 0.500 0.252
0.500 0.500 0.748
```

Top 10 peaks for 10° ≤ 2θ ≤ 80°, most intense first:
(0 0 2), 20.29°, I 100; (2 0 0), 41.29°, I 90; (1 1 0), 28.85°, I 85; (2 2 0), 59.76°, I 81; (0 0 1), 10.09°, I 66; (1 1 2), 35.53°, I 65; (1 0 1), 22.72°, I 51; (0 0 4), 41.17°, I 45; (1 1 4), 51.12°, I 35; (0 0 3), 30.64°, I 34